ScBrO: calculated powder diffractogram (CuKα), based on the GGA-PBE geometry in the Materials Project.
Kinematic intensities with the Lorentz-polarization factor, no thermal factor.

Peak list (10 most intense, 10 to 90 degrees two-theta, most intense first)
d_spacing, Position (°2θ), I (rel.)
3.642, 24.44, 1000
2.798, 31.99, 709
1.990, 45.58, 652
2.552, 35.17, 258
1.623, 56.72, 250
1.605, 57.40, 215
2.995, 29.84, 195
3.323, 26.83, 147
1.957, 46.41, 144
2.661, 33.67, 132

Structural model:
```
6
Lattice="3.5764 0.0000 0.0000 0.0000 3.9845 0.0000 0.0000 0.0000 8.9839" Properties=species:S:1:pos:R:3 pbc="T T T"
Sc 0.8941 0.9961 0.9318
Sc 2.6823 2.9884 8.0520
Br 0.8941 2.9884 6.0592
Br 2.6823 0.9961 2.9247
O 0.8941 2.9884 0.2746
O 2.6823 0.9961 8.7092
```

TlCl: calculated powder diffractogram (CuKα), based on the GGA-PBE geometry in the Materials Project.
Kinematic intensities with the Lorentz-polarization factor, no thermal factor.

Peak list (10 most intense, 10 to 90 degrees two-theta, most intense first)
d_spacing, Position (°2θ), I (rel.)
2.758, 32.46, 1000
3.901, 22.80, 562
1.592, 57.91, 380
1.744, 52.45, 266
2.252, 40.03, 186
1.950, 46.56, 182
1.234, 77.36, 164
1.300, 72.72, 130
1.379, 67.97, 117
1.176, 81.91, 77

Structural model:
```
2
Lattice="3.9008 0.0000 0.0000 0.0000 3.9008 0.0000 0.0000 0.0000 3.9008" Properties=species:S:1:pos:R:3 pbc="T T T"
Tl 0.0000 0.0000 0.0000
Cl 1.9504 1.9504 1.9504
```

CsRe3S4Br2: calculated powder diffractogram (CuKα), based on the GGA-PBE geometry in the Materials Project.
Kinematic intensities with the Lorentz-polarization factor, no thermal factor.

Peak list (10 most intense, 10 to 90 degrees two-theta, most intense first)
d_spacing, Position (°2θ), I (rel.)
8.313, 10.64, 1000
5.960, 14.86, 333
5.212, 17.01, 315
5.900, 15.02, 138
2.006, 45.20, 116
1.890, 48.15, 98
2.504, 35.86, 91
3.242, 27.52, 90
2.113, 42.80, 83
3.168, 28.17, 71

Structural model:
```
40
Lattice="6.4709 0.0000 0.0000 0.0000 18.9251 0.0000 -4.1676 0.0000 9.2529" Properties=species:S:1:pos:R:3 pbc="T T T"
Cs 0.0814 3.5972 0.5418
Cs -2.0024 5.8654 5.1683
Cs 4.3057 13.0597 4.0846
Cs 2.2218 15.3279 8.7111
Re 0.4705 10.9838 0.9678
Re -1.6133 17.4038 5.5942
Re -1.6011 1.0934 6.0614
Re 0.4827 8.3691 1.4349
Re -0.3635 0.1103 3.9609
Re -2.4473 9.3522 8.5873
Re 4.7506 9.5728 0.6656
Re 2.6667 18.8147 5.2920
Re 1.8206 10.5559 7.8180
Re 3.9044 17.8316 3.1915
Re 3.9165 1.5213 3.6587
Re 1.8327 7.9413 8.2852
S -0.7201 9.9488 2.8215
S -2.8040 18.4388 7.4480
S -2.5907 11.7302 8.2023
S -0.5069 16.6574 3.5759
S -0.4843 2.4770 4.4198
S -2.5681 6.9855 9.0463
S 2.4464 9.7704 1.7033
S 0.3625 18.6172 6.3297
S 1.9407 0.3079 2.9232
S -0.1431 9.1546 7.5496
S 4.8714 11.9396 0.2066
S 2.7875 16.4480 4.8331
S 2.8101 2.2676 5.6770
S 4.8939 7.1949 1.0506
S 5.1072 0.4863 1.8049
S 3.0234 8.9762 6.4314
Br 1.0593 13.1696 2.2379
Br -1.0246 15.2179 6.8644
Br -0.9801 2.6289 8.0293
Br 1.1037 6.8336 3.4029
Br 1.1995 12.0914 5.8500
Br 3.2833 16.2961 1.2236
Br 3.3278 3.7071 2.3885
Br 1.2440 5.7554 7.0150
```

CaTiAsO5: calculated powder diffractogram (CuKα), based on the GGA-PBE geometry in the Materials Project.
Kinematic intensities with the Lorentz-polarization factor, no thermal factor.

Peak list (10 most intense, 10 to 90 degrees two-theta, most intense first)
d_spacing, Position (°2θ), I (rel.)
3.318, 26.87, 1000
2.877, 31.09, 543
6.044, 14.66, 355
3.665, 24.29, 315
3.022, 29.56, 296
2.677, 33.48, 296
3.994, 22.26, 247
2.697, 33.22, 232
2.716, 32.99, 226
4.210, 21.10, 215

Structural model:
```
32
Lattice="5.9743 0.0000 0.0000 0.0000 7.9825 0.0000 -0.2578 0.0000 9.2512" Properties=species:S:1:pos:R:3 pbc="T T T"
Ca -0.0295 0.0000 1.0946
Ca 5.7460 3.9913 8.1566
Ca 2.7643 5.1874 5.1623
Ca 2.9522 1.1961 4.0889
Ti 1.0452 0.8006 7.1039
Ti 1.5584 4.7385 2.0903
Ti 4.1581 0.7472 7.1609
Ti 4.6713 4.7919 2.1473
As 0.1067 3.2858 4.7991
As 2.8351 1.9195 0.6621
As 2.8814 5.9108 8.5891
As 5.6098 7.2771 4.4520
O -0.1650 7.6715 7.8740
O 0.1746 5.9767 2.3897
O 0.5904 4.5039 5.9922
O 1.0795 0.1783 5.2766
O 1.3114 2.0512 8.7573
O 1.6385 5.4389 0.0546
O 1.5769 3.6268 3.6825
O 2.2506 0.8578 1.8593
O 2.6232 7.4960 7.9094
O 2.7940 1.7489 6.4813
O 2.9225 5.7402 2.7699
O 3.0933 3.5048 1.3418
O 3.4659 4.8491 7.3918
O 4.1396 7.6181 5.5687
O 4.0780 1.4476 9.1966
O 4.4051 6.0424 0.4939
O 4.6370 4.1696 3.9746
O 5.1261 0.5127 3.2590
O 5.5419 1.9854 6.8615
O 5.8815 3.6802 1.3772
```

YMg3: calculated powder diffractogram (CuKα), based on the GGA-PBE geometry in the Materials Project.
Kinematic intensities with the Lorentz-polarization factor, no thermal factor.

Peak list (10 most intense, 10 to 90 degrees two-theta, most intense first)
d_spacing, Position (°2θ), I (rel.)
2.657, 33.74, 1000
2.529, 35.50, 434
5.058, 17.54, 385
1.483, 62.62, 313
3.122, 28.59, 232
1.561, 59.19, 187
3.576, 24.90, 166
1.788, 51.08, 148
1.965, 46.20, 121
3.968, 22.40, 108

Structural model:
```
4
Lattice="5.0576 0.0000 0.0000 0.0000 5.0576 0.0000 0.0000 0.0000 3.9682" Properties=species:S:1:pos:R:3 pbc="T T T"
Y 0.0000 0.0000 0.0000
Mg 0.0000 2.5288 1.9841
Mg 2.5288 0.0000 1.9841
Mg 2.5288 2.5288 0.0000
```

PrZn2Ga2: calculated powder diffractogram (CuKα), based on the GGA-PBE geometry in the Materials Project.
Kinematic intensities with the Lorentz-polarization factor, no thermal factor.

Peak list (10 most intense, 10 to 90 degrees two-theta, most intense first)
d_spacing, Position (°2θ), I (rel.)
2.640, 33.95, 1000
2.743, 32.65, 570
2.147, 42.09, 539
1.915, 47.49, 297
1.691, 54.26, 264
1.429, 65.30, 222
1.316, 71.72, 219
1.518, 61.04, 174
3.036, 29.42, 146
1.135, 85.58, 119

Structural model:
```
5
Lattice="-2.1468 2.1468 5.3476 2.1468 -2.1468 5.3476 2.1468 2.1468 -5.3476" Properties=species:S:1:pos:R:3 pbc="T T T"
Pr 0.0000 0.0000 0.0000
Zn 0.0000 0.0000 4.1255
Zn 0.0000 0.0000 6.5697
Ga 2.1468 0.0000 2.6738
Ga 0.0000 2.1468 2.6738
```

CsRe3O6F10: calculated powder diffractogram (CuKα), based on the GGA-PBE geometry in the Materials Project.
Kinematic intensities with the Lorentz-polarization factor, no thermal factor.

Peak list (10 most intense, 10 to 90 degrees two-theta, most intense first)
d_spacing, Position (°2θ), I (rel.)
4.139, 21.47, 1000
4.003, 22.21, 908
4.220, 21.05, 823
4.081, 21.78, 782
3.668, 24.26, 686
3.652, 24.37, 503
3.377, 26.39, 372
5.893, 15.04, 336
2.485, 36.15, 230
3.750, 23.72, 226

Structural model:
```
40
Lattice="7.3466 0.0000 0.0000 -0.3920 10.0931 0.0000 -0.1883 -4.2791 9.7813" Properties=species:S:1:pos:R:3 pbc="T T T"
Cs 1.3333 1.5413 1.1851
Cs 5.4330 4.2726 8.5962
Re 1.4554 2.0203 6.5907
Re 1.6165 6.8120 1.0820
Re 1.5207 6.1220 6.1827
Re 5.2455 -0.3081 3.5986
Re 5.1497 -0.9980 8.6993
Re 5.3109 3.7936 3.1905
O 1.3735 2.1351 4.8890
O 1.5504 7.1880 2.7434
O 1.9203 0.3971 6.8264
O 2.0439 5.1468 1.0826
O 2.3266 -2.3549 5.8384
O 2.3364 5.2484 4.9453
O 4.4298 0.5655 4.8360
O 4.4397 8.1689 3.9429
O 4.7223 0.6671 8.6987
O 4.8460 5.4168 2.9549
O 5.2159 -1.3740 7.0379
O 5.3928 3.6789 4.8923
F -0.2275 6.4908 0.8074
F -0.1914 4.0137 2.8785
F -0.1640 6.0857 5.3435
F 0.4296 6.3942 7.7846
F 0.8712 4.0407 6.7907
F 1.1275 8.5944 0.4127
F 1.4320 2.2983 8.6662
F 2.8634 5.7846 7.4827
F 3.1583 2.7943 6.8021
F 3.3959 -1.6125 9.0485
F 3.3704 7.4264 0.7328
F 3.6080 3.0196 2.9792
F 3.9029 0.0294 2.2986
F 5.3343 3.5156 1.1151
F 5.6387 -2.7804 9.3686
F 5.8951 1.7732 2.9906
F 6.3366 -0.5803 1.9967
F 6.9303 -0.2718 4.4378
F 6.9577 1.8002 6.9028
F 6.9938 -0.6768 8.9739
```

Pr2Te4O11: calculated powder diffractogram (CuKα), based on the GGA-PBE geometry in the Materials Project.
Kinematic intensities with the Lorentz-polarization factor, no thermal factor.

Peak list (10 most intense, 10 to 90 degrees two-theta, most intense first)
d_spacing, Position (°2θ), I (rel.)
3.461, 25.74, 1000
3.081, 28.98, 654
3.107, 28.74, 312
2.023, 44.80, 210
2.739, 32.70, 207
2.665, 33.62, 177
1.910, 47.61, 176
1.929, 47.12, 175
2.275, 39.61, 148
1.745, 52.42, 139

Structural model:
```
34
Lattice="6.4184 -2.6654 0.0000 6.4184 2.6654 0.0000 -4.1938 0.0000 16.1894" Properties=species:S:1:pos:R:3 pbc="T T T"
Pr 0.8706 1.3423 15.5737
Pr 5.6754 1.3423 8.7104
Pr 2.9675 -1.3423 7.4790
Pr 7.7723 -1.3423 0.6157
Te 2.0802 1.4989 10.1250
Te 3.6457 1.4773 4.8698
Te 7.0941 1.4773 3.2250
Te 4.4658 1.4989 14.1592
Te 4.1771 -1.4989 2.0302
Te 1.5488 -1.4773 12.9645
Te 4.9972 -1.4773 11.3197
Te 6.5627 -1.4989 6.0645
O 4.4316 2.1943 6.4679
O 6.3082 2.1943 1.6268
O -1.2903 0.2056 15.2973
O 0.5368 0.3603 10.1484
O 0.8066 -0.2056 7.2026
O 1.0530 0.2549 13.4363
O 3.1958 0.6321 8.8550
O 2.6337 -0.3603 2.0537
O 5.3699 0.8003 4.0474
O 3.1499 -0.2549 5.3416
O 3.3503 0.6321 15.4291
O 5.2927 -0.6321 0.7603
O 5.4930 0.2549 10.8479
O 3.2730 -0.8003 12.1421
O 6.0092 0.3603 14.1357
O 5.4472 -0.6321 7.3344
O 7.5899 -0.2549 2.7532
O 7.8363 0.2056 8.9868
O 8.1061 -0.3603 6.0410
O 9.9332 -0.2056 0.8921
O 2.3347 -2.1943 14.5626
O 4.2113 -2.1943 9.7215
```